1.
Starting from a structure optimized by DFT (PBE+U), the X-ray powder pattern of Ba7Fe6O2F32 was calculated for Cu Kα X-rays.

Atomic structure:
Lattice parameters (Å, degrees): 17.207 11.654 7.651 90.00 100.99 90.00
Space group C2/m (No. 12)
Asymmetric unit:
Ba: 0.000 0.000 0.000
Ba: 0.141 0.293 0.303
Ba: 0.234 0.500 0.870
Fe: 0.110 0.245 0.800
Fe: 0.176 0.000 0.544
O: 0.038 0.500 0.267
F: 0.001 0.207 0.796
F: 0.095 0.355 0.610
F: 0.109 0.120 0.618
F: 0.112 0.000 0.307
F: 0.116 0.369 0.971
F: 0.133 0.132 0.999
F: 0.223 0.259 0.812
F: 0.239 0.118 0.454
F: 0.243 0.500 0.239

Largest 8 diffraction maxima, by intensity, 10 to 90 degrees two-theta:
d/Å  intensity  index
3.419  1000  4 2 0
3.157  515  0 2 2
3.633  438  1 1 -2
3.309  408  4 2 -1
3.903  377  3 1 1
8.446  370  2 0 0
3.121  335  4 0 -2
1.991  269  1 5 -2

2.
Starting from a structure optimized by DFT (PBE+U), the X-ray powder pattern of Li3V4FeO12 was calculated for Cu Kα X-rays.

Atomic structure:
Lattice parameters (Å, degrees): 10.863 8.537 5.637 90.00 112.33 90.00
Space group C2 (No. 5)
Asymmetric unit:
Li: 0.000 0.000 0.000
Li: 0.000 0.194 0.500
Li: 0.000 0.637 0.000
V: 0.222 0.310 0.018
V: 0.228 0.522 0.549
Fe: 0.000 0.838 0.500
O: 0.101 0.013 0.420
O: 0.106 0.818 0.884
O: 0.119 0.678 0.435
O: 0.149 0.352 0.684
O: 0.160 0.435 0.191
O: 0.185 0.120 0.078

Largest 8 diffraction maxima, by intensity, 10 to 90 degrees two-theta:
d/Å  intensity  index
3.124  1000  2 2 -1
5.024  363  2 0 0
3.303  276  0 2 1
2.607  221  0 0 2
4.668  203  1 1 -1
6.506  167  1 1 0
2.238  155  1 1 2
1.727  150  5 3 -1

3.
Starting from a structure optimized by DFT (PBE+U), the X-ray powder pattern of LiMnPH2O5 was calculated for Cu Kα X-rays.

Atomic structure:
Lattice parameters (Å, degrees): 11.192 8.297 5.156 90.00 90.00 90.00
Space group Pna2_1 (No. 33)
Asymmetric unit:
Li: 0.190 0.183 0.000
Mn: 0.123 0.374 0.494
P: 0.172 0.583 0.994
H: 0.001 0.942 0.663
H: 0.040 0.818 0.452
O: 0.019 0.097 0.987
O: 0.053 0.668 0.927
O: 0.171 0.407 0.881
O: 0.190 0.573 0.294
O: 0.222 0.177 0.372

Largest 8 diffraction maxima, by intensity, 10 to 90 degrees two-theta:
d/Å  intensity  index
6.665  1000  1 1 0
3.105  927  1 2 1
3.402  795  3 1 0
4.380  585  0 1 1
2.578  358  0 0 2
4.639  203  2 1 0
2.441  198  0 3 1
1.838  160  4 3 1

4.
Starting from a structure optimized by DFT (PBE+U), the X-ray powder pattern of MgWO4 was calculated for Cu Kα X-rays.

Atomic structure:
Lattice parameters (Å, degrees): 5.528 5.557 5.613 90.00 117.37 90.00
Space group P2/c (No. 13)
Asymmetric unit:
Mg: 0.000 0.126 0.250
W: 0.500 0.352 0.750
O: 0.220 0.136 0.675
O: 0.310 0.381 0.347

Largest 8 diffraction maxima, by intensity, 10 to 90 degrees two-theta:
d/Å  intensity  index
3.614  1000  1 1 -1
4.909  850  1 0 0
3.679  657  1 1 0
3.711  579  0 1 1
1.959  394  2 2 -1
5.557  366  0 1 0
2.492  338  0 0 2
1.733  285  1 3 0

5.
Starting from a structure optimized by DFT (PBE+U), the X-ray powder pattern of Li5Co3O8 was calculated for Cu Kα X-rays.

Atomic structure:
Lattice parameters (Å, degrees): 4.915 5.010 5.696 73.08 89.69 80.12
Space group P-1 (No. 2)
Asymmetric unit:
Li: 0.000 0.000 0.000
Li: 0.236 0.497 0.880
Li: 0.244 0.503 0.369
Co: 0.000 0.000 0.500
Co: 0.495 0.999 0.754
O: 0.142 0.226 0.204
O: 0.146 0.221 0.679
O: 0.370 0.784 0.552
O: 0.397 0.777 0.053

Largest 8 diffraction maxima, by intensity, 10 to 90 degrees two-theta:
d/Å  intensity  index
4.717  1000  0 1 0
2.034  287  1 2 2
2.017  277  1 1 -2
2.012  273  2 -1 0
2.420  238  1 0 -2
1.424  156  0 1 4
2.437  135  1 1 2
5.443  126  0 0 1

6.
Starting from a structure optimized by DFT (PBE+U), the X-ray powder pattern of Fe3P4PbO14 was calculated for Cu Kα X-rays.

Atomic structure:
Lattice parameters (Å, degrees): 7.659 7.886 9.722 90.00 112.09 90.00
Space group P2_1/c (No. 14)
Asymmetric unit:
Fe: 0.000 0.000 0.000
Fe: 0.188 0.123 0.529
P: 0.113 0.703 0.806
P: 0.395 0.056 0.299
Pb: 0.500 0.000 0.000
O: 0.002 0.713 0.637
O: 0.029 0.578 0.885
O: 0.156 0.626 0.387
O: 0.273 0.115 0.138
O: 0.316 0.629 0.821
O: 0.377 0.177 0.415
O: 0.404 0.518 0.192

Largest 8 diffraction maxima, by intensity, 10 to 90 degrees two-theta:
d/Å  intensity  index
3.446  1000  1 2 0
2.522  764  3 0 -2
2.759  571  2 1 1
4.082  550  1 1 1
5.934  537  0 1 1
2.994  494  1 1 -3
4.504  480  0 0 2
2.713  479  2 1 -3

7.
Starting from a structure optimized by DFT (PBE+U), the X-ray powder pattern of Sm4MgMo4O14 was calculated for Cu Kα X-rays.

Atomic structure:
Lattice parameters (Å, degrees): 13.106 7.640 7.544 90.00 124.74 90.00
Space group Cm (No. 8)
Asymmetric unit:
Sm: 0.000 0.000 0.000
Sm: 0.003 0.000 0.491
Sm: 0.260 0.263 0.541
Mg: 0.277 0.000 0.283
Mo: 0.013 0.500 0.001
Mo: 0.023 0.500 0.517
Mo: 0.261 0.257 0.003
O: 0.118 0.500 0.361
O: 0.135 0.270 0.670
O: 0.136 0.284 0.076
O: 0.149 0.000 0.369
O: 0.190 0.000 0.959
O: 0.354 0.500 0.105
O: 0.386 0.209 0.335
O: 0.386 0.225 0.921
O: 0.392 0.500 0.633
O: 0.407 0.000 0.642

Largest 8 diffraction maxima, by intensity, 10 to 90 degrees two-theta:
d/Å  intensity  index
3.116  1000  2 2 0
3.100  499  0 0 2
3.079  485  4 0 -2
2.684  459  2 2 -2
1.625  355  6 2 0
1.906  345  2 2 2
1.896  341  6 2 -2
2.692  234  4 0 0

8.
Starting from a structure optimized by DFT (PBE+U), the X-ray powder pattern of SrCa7Mn6Fe2O24 was calculated for Cu Kα X-rays.

Atomic structure:
Lattice parameters (Å, degrees): 7.631 10.858 10.857 90.00 90.00 90.00
Space group Amm2 (No. 38)
Asymmetric unit:
Sr: 0.000 0.000 0.000
Ca: 0.000 0.000 0.500
Ca: 0.000 0.250 0.250
Ca: 0.500 0.000 0.000
Ca: 0.500 0.000 0.500
Ca: 0.500 0.250 0.250
Mn: 0.251 0.000 0.750
Mn: 0.251 0.249 0.500
Fe: 0.251 0.000 0.251
O: 0.000 0.000 0.252
O: 0.000 0.000 0.747
O: 0.000 0.247 0.500
O: 0.250 0.125 0.625
O: 0.250 0.127 0.377
O: 0.252 0.128 0.125
O: 0.253 0.126 0.873
O: 0.500 0.000 0.251
O: 0.500 0.000 0.750
O: 0.500 0.250 0.000

Largest 8 diffraction maxima, by intensity, 10 to 90 degrees two-theta:
d/Å  intensity  index
2.706  1000  2 2 2
2.714  504  0 4 0
1.919  501  0 4 4
1.566  354  2 6 2
1.353  264  4 4 4
1.908  245  4 0 0
1.561  175  4 4 0
1.214  146  2 6 6